ThPd7Au3: calculated PXRD pattern (λ = 1.5418 Å (Cu Kα)), based on a structure optimized by DFT (GGA-PBE).

Principal peaks in the range 2θ = 15–90°, low angle first:
2theta, I_rel
28.78, 46.7
34.53, 67.8
37.47, 68.1
38.90, 100.0
44.29, 50.2
51.87, 35.7

Crystal structure
```
ThPd7Au3
1.0
4.522 -4.800 0.000
4.522 4.800 0.000
-2.173 0.000 4.823
Th Pd Au
1 7 3
Direct
0.000 0.000 0.000
0.000 0.000 0.500
0.086 0.564 0.822
0.298 0.298 0.443
0.436 0.914 0.178
0.564 0.086 0.822
0.702 0.702 0.557
0.914 0.436 0.178
0.279 0.721 0.500
0.500 0.500 0.000
0.721 0.279 0.500
```



RePt8Rh2: calculated PXRD pattern (λ = 1.5418 Å (Cu Kα)), based on a structure optimized by DFT (GGA-PBE).

Principal peaks in the range 2θ = 15–90°, low angle first:
2theta, I_rel
40.00, 100.0
40.95, 83.4
41.45, 35.6
45.30, 36.0
53.87, 20.9
82.89, 24.7

Crystal structure
```
RePt8Rh2
1.0
4.081 -5.454 0.000
4.081 5.454 0.000
0.000 0.000 4.004
Re Pt Rh
1 8 2
Direct
0.000 0.000 0.000
0.041 0.298 0.500
0.240 0.760 0.000
0.298 0.041 0.500
0.327 0.327 0.000
0.673 0.673 0.000
0.702 0.959 0.500
0.760 0.240 0.000
0.959 0.702 0.500
0.383 0.617 0.500
0.617 0.383 0.500
```



Ce3Pb2: calculated PXRD pattern (λ = 1.5418 Å (Cu Kα)), based on a structure optimized by DFT (GGA-PBE).

Principal peaks in the range 2θ = 15–90°, low angle first:
2theta, I_rel
24.09, 64.1
27.81, 58.6
34.39, 73.7
35.69, 66.3
36.34, 100.0
40.88, 93.4

Crystal structure
```
Ce3Pb2
1.0
-4.477 6.084 3.209
4.477 -6.084 3.209
4.477 6.084 -3.209
Ce Pb
6 4
Direct
0.137 0.638 0.775
0.250 0.250 0.000
0.363 0.138 0.500
0.637 0.862 0.500
0.750 0.750 0.000
0.863 0.362 0.225
0.123 0.276 0.399
0.377 0.776 0.153
0.623 0.224 0.847
0.877 0.724 0.601
```



Ta2Pd3Pt3: calculated PXRD pattern (λ = 1.5418 Å (Cu Kα)), based on a structure optimized by DFT (GGA-PBE).

Principal peaks in the range 2θ = 15–90°, low angle first:
2theta, I_rel
35.57, 47.4
38.74, 40.6
41.10, 100.0
42.27, 76.1
43.39, 42.4
67.66, 19.7

Crystal structure
```
Ta2Pd3Pt3
1.0
3.703 2.138 2.727
-3.703 2.138 2.727
0.000 -4.276 2.727
Ta Pd Pt
2 3 3
Direct
0.229 0.229 0.229
0.771 0.771 0.771
0.240 0.760 0.500
0.500 0.240 0.760
0.760 0.500 0.240
0.000 0.290 0.710
0.290 0.710 0.000
0.710 0.000 0.290
```